This entry pairs a crystal structure of Y2O3 with its computed PXRD pattern. Radiation: Cu Kα. Structure: the GGA-PBE geometry in the Materials Project.
Kinematic intensities with the Lorentz-polarization factor, no thermal factor.

Top 12 peaks for 10 to 90 degrees two-theta, by angle:
(1 0 0), 27.9°, rel. 314
(0 0 2), 30.2°, rel. 311
(0 1 1), 31.8°, rel. 1000
(0 1 2), 41.6°, rel. 330
(1 1 0), 49.4°, rel. 387
(1 0 3), 54.7°, rel. 307
(1 1 2), 59.0°, rel. 268
(2 0 1), 60.0°, rel. 163
(0 2 3), 76.8°, rel. 107
(1 2 1), 81.4°, rel. 137
(1 1 4), 83.8°, rel. 94
(0 1 5), 88.0°, rel. 88

Structural model:
```
5
Lattice="3.6876 0.0000 0.0000 -1.8438 3.1936 0.0000 0.0000 0.0000 5.9191" Properties=species:S:1:pos:R:3 pbc="T T T"
Y 0.0000 2.1291 1.4777
Y 1.8438 1.0645 4.4415
O 0.0000 0.0000 0.0000
O 0.0000 2.1291 3.8257
O 1.8438 1.0645 2.0934
```